The following is a theoretical XRD peak list of Ni13Pt3. It was derived from DFT lattice parameters and positions (GGA-PBE), using Cu Kα X-rays.
Neutral-atom scattering factors, no anomalous dispersion.

```
16
Lattice="7.1986 0.0000 0.0000 0.0000 3.6286 3.6560 0.0000 -3.6286 3.6560" Properties=species:S:1:pos:R:3 pbc="T T T"
Ni 0.0000 0.0000 0.0000
Ni 0.0000 0.0000 3.7749
Ni 0.0000 -1.7498 5.5429
Ni 0.0000 1.7498 5.5429
Ni 1.7611 -1.8052 3.7147
Ni 1.7611 1.8052 3.7147
Ni 1.7726 0.0000 5.4978
Ni 3.5993 -1.8326 1.8477
Ni 3.5993 1.8326 1.8477
Ni 3.5993 0.0000 3.7508
Ni 5.4260 0.0000 5.4978
Ni 5.4375 -1.8052 3.7147
Ni 5.4375 1.8052 3.7147
Pt 1.7497 0.0000 1.9170
Pt 3.5993 0.0000 7.2765
Pt 5.4489 0.0000 1.9170
```

Largest 10 diffraction maxima, low angle first, 10° ≤ 2θ ≤ 80°:
2θ (°)  I_rel
17.22  15
24.53  8
30.29  13
43.19  100
49.89  16
50.29  16
50.73  15
73.55  10
73.90  9
74.22  9